Starting from a cell relaxed with GGA-PBE, the X-ray powder pattern of TmAs2Rh5Pb was simulated for Cu Kα, 1.54184 Å.
Intensities are scaled so that the largest is 100.

Cell and atoms:
Lattice parameters (Å, degrees): 4.182 4.182 8.804 90.00 90.00 90.00
Positions (direct):
1 Tm 0.000 0.000 0.000
2 As 0.500 0.500 0.141
3 As 0.500 0.500 0.859
4 Rh 0.000 0.500 0.269
5 Rh 0.000 0.500 0.731
6 Rh 0.500 0.000 0.269
7 Rh 0.500 0.000 0.731
8 Rh 0.500 0.500 0.500
9 Pb 0.000 0.000 0.500

Top 8 peaks for 10° ≤ 2θ ≤ 90°, by angle:
| Position (°2θ) | intensity |
| --- | --- |
| 29.5 | 21 |
| 36.6 | 100 |
| 43.3 | 47 |
| 43.4 | 16 |
| 61.1 | 15 |
| 62.9 | 16 |
| 71.8 | 15 |
| 75.0 | 24 |